No. 1
Computed X-ray powder pattern
Compound: Rb3Ti
Radiation: Cu Kα
Structure: a structure optimized by DFT (GGA-PBE)
Neutral-atom scattering factors, no anomalous dispersion.

Structure:
Unit cell a=8.8180 b=8.8180 c=7.1399 alpha=90.00 beta=90.00 gamma=120.00
Space group P6_3/mmc (No. 194)
Inequivalent atoms, fractional coordinates:
Rb: 0.1761 0.3522 0.2500 (multiplicity 6)
Ti: 0.3333 0.6667 0.7500 (multiplicity 2)

Principal peaks in the range 2θ = 5–70°, in order of falling intensity:
index	2θ/deg	I (rel.)
2 0 1	26.47	100
0 0 2	24.94	26
2 0 0	23.30	23
2 2 2	48.54	23
2 0 3	44.88	23
2 2 0	40.94	19
2 0 2	34.39	17
4 0 1	49.42	16
4 2 1	66.05	12
2 2 4	67.52	8

No. 2
Computed X-ray powder pattern
Compound: SmCo9Si2
Radiation: Cu Kα
Structure: a structure optimized by DFT (GGA-PBE)
Neutral-atom scattering factors, no anomalous dispersion.

Structure:
Unit cell a=9.6975 b=9.6975 c=6.2997 alpha=90.00 beta=90.00 gamma=90.00
Space group I4_1/amd (No. 141, origin choice 2)
Inequivalent atoms, fractional coordinates:
Sm: 0.0000 0.2500 0.3750 (multiplicity 4)
Co: 0.0000 0.2500 0.8750 (multiplicity 4)
Co: 0.1239 0.0440 0.6850 (multiplicity 32)
Si: 0.0000 0.0000 0.0000 (multiplicity 8)

Principal peaks in the range 2θ = 5–70°, in order of falling intensity:
index	2θ/deg	I (rel.)
3 1 2	41.08	100
4 2 0	41.65	74
5 0 1	49.15	30
3 2 1	36.32	28
1 0 3	44.13	27
5 3 2	63.19	25
1 1 2	31.25	18
4 2 2	51.14	17
4 0 2	47.32	17
3 0 1	31.10	16

No. 3
Computed X-ray powder pattern
Compound: MnCr3Te4
Radiation: Cu Kα
Structure: a structure optimized by DFT (GGA-PBE)
Neutral-atom scattering factors, no anomalous dispersion.

Structure:
Unit cell a=14.1321 b=4.1442 c=7.1611 alpha=90.00 beta=120.36 gamma=90.00
Space group C2/m (No. 12)
Inequivalent atoms, fractional coordinates:
Mn: 0.0000 0.0000 0.0000 (multiplicity 2)
Cr: 0.0000 0.5000 0.5000 (multiplicity 2)
Cr: 0.2457 0.0000 0.2477 (multiplicity 4)
Te: 0.1255 0.5000 0.2939 (multiplicity 4)
Te: 0.1273 0.0000 0.7914 (multiplicity 4)

Principal peaks in the range 2θ = 5–70°, in order of falling intensity:
index	2θ/deg	I (rel.)
4 0 -2	28.89	100
5 1 -1	38.78	53
0 2 0	43.74	44
8 0 -2	51.70	19
4 2 -2	53.25	15
2 2 2	59.84	11
4 0 0	29.30	7
8 2 -2	69.96	7
4 2 0	53.49	5
8 0 0	60.76	5

No. 4
Computed X-ray powder pattern
Compound: GeP3
Radiation: Cu Kα
Structure: a structure optimized by DFT (GGA-PBE)
Neutral-atom scattering factors, no anomalous dispersion.

Structure:
Unit cell a=7.1133 b=7.1133 c=10.0736 alpha=90.00 beta=90.00 gamma=120.00
Space group R-3m (No. 166, hexagonal axes)
Inequivalent atoms, fractional coordinates:
Ge: 0.0000 0.0000 0.2364 (multiplicity 6)
P: 0.0172 0.5086 0.2204 (multiplicity 18)

Principal peaks in the range 2θ = 5–70°, in order of falling intensity:
index	2θ/deg	I (rel.)
2 0 2	34.12	100
2 2 0	51.38	31
0 2 4	46.58	30
0 1 2	22.81	19
1 1 0	25.04	17
0 4 2	63.13	15
0 0 3	26.55	12
1 2 2	42.79	11
2 0 5	54.42	10
1 0 4	38.62	8